# 1
# Dy15Ho2Sc2
Calculated powder diffractogram, Cu Kα X-rays. Input: a structure optimized by DFT (GGA-PBE).
Kinematic intensities with the Lorentz-polarization factor, no thermal factor.

Largest 10 diffraction maxima, low angle first, 2θ from 10° to 80°:
- 16.08°, d = 5.510 Å, I 29
- 26.74°, d = 3.334 Å, I 17
- 27.70°, d = 3.220 Å, I 19
- 30.74°, d = 2.909 Å, I 32
- 31.76°, d = 2.817 Å, I 47
- 32.07°, d = 2.791 Å, I 100
- 32.50°, d = 2.755 Å, I 43
- 36.07°, d = 2.490 Å, I 59
- 52.23°, d = 1.751 Å, I 17
- 57.98°, d = 1.591 Å, I 19

Crystal structure
```
Dy15Ho2Sc2
1.0
5.5102 3.1813 5.8170
-5.5102 3.1813 5.8170
0.0000 -6.3627 5.8170
Dy Ho Sc
15 2 2
direct
0.0000 0.0000 0.5000
0.0000 0.2947 0.7053
0.0000 0.5000 0.0000
0.0000 0.7053 0.2947
0.1466 0.6305 0.6305
0.2947 0.0000 0.7053
0.2947 0.7053 0.0000
0.3695 0.3695 0.8534
0.3695 0.8534 0.3695
0.5000 0.0000 0.0000
0.6305 0.1466 0.6305
0.6305 0.6305 0.1466
0.7053 0.0000 0.2947
0.7053 0.2947 0.0000
0.8534 0.3695 0.3695
0.3188 0.3188 0.3188
0.6812 0.6812 0.6812
0.0906 0.0906 0.0906
0.9094 0.9094 0.9094
```


# 2
# Ba3PrBi2O9
Calculated powder diffractogram, Cu Kα X-rays. Input: a structure optimized by DFT (GGA-PBE).
Kinematic intensities with the Lorentz-polarization factor, no thermal factor.

Largest 10 diffraction maxima, low angle first, 2θ from 10° to 80°:
- 19.95°, d = 4.451 Å, I 7
- 28.36°, d = 3.147 Å, I 100
- 40.53°, d = 2.226 Å, I 28
- 50.10°, d = 1.821 Å, I 11
- 50.24°, d = 1.816 Å, I 32
- 58.59°, d = 1.576 Å, I 9
- 58.74°, d = 1.572 Å, I 9
- 66.36°, d = 1.409 Å, I 10
- 66.47°, d = 1.407 Å, I 9
- 73.81°, d = 1.284 Å, I 5

Crystal structure
```
Ba3PrBi2O9
1.0
6.2870 0.0000 0.0000
-3.1435 5.4447 0.0000
0.0000 0.0000 7.7286
Ba Pr Bi O
3 1 2 9
direct
0.0000 0.0000 0.0000
0.3333 0.6667 0.6785
0.6667 0.3333 0.3215
0.0000 0.0000 0.5000
0.3333 0.6667 0.1670
0.6667 0.3333 0.8330
0.0000 0.5000 0.0000
0.1719 0.3439 0.3226
0.1719 0.8281 0.3226
0.3439 0.1719 0.6774
0.5000 0.0000 0.0000
0.5000 0.5000 0.0000
0.6561 0.8281 0.3226
0.8281 0.1719 0.6774
0.8281 0.6561 0.6774
```


# 3
# PrScCdAg
Calculated powder diffractogram, Cu Kα X-rays. Input: a structure optimized by DFT (GGA-PBE).
Kinematic intensities with the Lorentz-polarization factor, no thermal factor.

Largest 10 diffraction maxima, low angle first, 2θ from 10° to 80°:
- 20.92°, d = 4.246 Å, I 12
- 24.20°, d = 3.677 Å, I 1
- 34.49°, d = 2.600 Å, I 100
- 40.69°, d = 2.218 Å, I 7
- 49.58°, d = 1.839 Å, I 17
- 54.37°, d = 1.687 Å, I 3
- 61.80°, d = 1.501 Å, I 35
- 66.00°, d = 1.415 Å, I 2
- 72.73°, d = 1.300 Å, I 11
- 76.65°, d = 1.243 Å, I 2

Crystal structure
```
PrScCdAg
1.0
0.0000 3.6774 3.6774
3.6774 0.0000 3.6774
3.6774 3.6774 0.0000
Pr Sc Cd Ag
1 1 1 1
direct
0.0000 0.0000 0.0000
0.5000 0.5000 0.5000
0.2500 0.2500 0.2500
0.7500 0.7500 0.7500
```


# 4
# CaAl3Ir
Calculated powder diffractogram, Cu Kα X-rays. Input: a structure optimized by DFT (GGA-PBE).
Kinematic intensities with the Lorentz-polarization factor, no thermal factor.

Largest 10 diffraction maxima, low angle first, 2θ from 10° to 80°:
- 13.38°, d = 6.618 Å, I 100
- 18.58°, d = 4.776 Å, I 24
- 20.56°, d = 4.319 Å, I 27
- 24.31°, d = 3.661 Å, I 46
- 28.12°, d = 3.173 Å, I 21
- 29.95°, d = 2.984 Å, I 26
- 33.68°, d = 2.661 Å, I 24
- 37.03°, d = 2.428 Å, I 30
- 41.17°, d = 2.193 Å, I 24
- 43.93°, d = 2.061 Å, I 23

Crystal structure
```
CaAl3Ir
1.0
7.8091 0.0000 0.0000
0.0000 6.8993 0.0000
-4.5869 0.0000 7.3239
Ca Al Ir
4 12 4
direct
0.1228 0.1008 0.2320
0.1228 0.3992 0.7320
0.8772 0.6008 0.2680
0.8772 0.8992 0.7680
0.1955 0.6628 0.1547
0.1955 0.8372 0.6547
0.3177 0.0516 0.9619
0.3177 0.4484 0.4619
0.4442 0.1248 0.6792
0.4442 0.3752 0.1792
0.5558 0.6248 0.8208
0.5558 0.8752 0.3208
0.6823 0.5516 0.5381
0.6823 0.9484 0.0381
0.8045 0.1628 0.3453
0.8045 0.3372 0.8453
0.4158 0.7003 0.0200
0.4158 0.7997 0.5200
0.5842 0.2003 0.4800
0.5842 0.2997 0.9800
```